For Sc2MnIO8, DFT lattice parameters and positions (GGA+U) gives the computed powder X-ray diffraction pattern in this record (Cu Kα, 1.54184 Å).

Atomic structure:
```
Sc2MnIO8
1.0
4.764 0.000 0.000
0.000 6.187 0.000
-0.227 0.000 4.765
Sc Mn I O
2 1 1 8
Direct
0.000 0.238 0.000 Sc
0.000 0.762 0.000 Sc
0.500 0.000 0.500 Mn
0.500 0.500 0.500 I
0.209 0.000 0.207 O
0.211 0.500 0.209 O
0.318 0.260 0.680 O
0.318 0.740 0.680 O
0.682 0.260 0.320 O
0.682 0.740 0.320 O
0.789 0.500 0.791 O
0.791 0.000 0.793 O
```

Main lines, in order of rising 2θ (2θ = 15–90°):
hkl 1 0 0, 18.6°, I = 49
hkl 1 1 0, 23.6°, I = 32
hkl 1 0 -1, 25.8°, I = 95
hkl 1 0 1, 27.1°, I = 75
hkl 1 2 0, 34.6°, I = 100
hkl 0 0 2, 37.8°, I = 22
hkl 1 2 -1, 39.1°, I = 28
hkl 2 2 -1, 51.4°, I = 58
hkl 2 2 1, 52.9°, I = 45
hkl 2 0 -2, 53.1°, I = 14
hkl 2 0 2, 55.9°, I = 15
hkl 0 2 3, 66.2°, I = 45